(1)
Pa4Fe3Bi8: theoretical X-ray powder pattern (Cu Kα), based on a structure optimized by DFT (GGA-PBE).
Intensities are scaled so that the largest is 100.

Crystal structure
Lattice parameters (Å, degrees): 4.5481 4.5481 18.2770 90.00 90.00 90.00
Space group P-4m2 (No. 115)
Inequivalent atoms, fractional coordinates:
Pa1 0.0000 0.5000 0.1028 (multiplicity 2)
Pa2 0.0000 0.5000 0.6041 (multiplicity 2)
Fe1 0.0000 0.0000 0.0000 (multiplicity 1)
Fe2 0.0000 0.0000 0.5000 (multiplicity 1)
Fe3 0.5000 0.5000 0.5000 (multiplicity 1)
Bi1 0.0000 0.0000 0.2466 (multiplicity 2)
Bi2 0.0000 0.5000 0.4164 (multiplicity 2)
Bi3 0.0000 0.5000 0.9235 (multiplicity 2)
Bi4 0.5000 0.5000 0.2469 (multiplicity 2)

Most intense lines, 10 to 80 degrees two-theta, sorted by position:
| 2theta | d (Å) | intensity |
| --- | --- | --- |
| 29.32 | 3.046 | 36 |
| 29.44 | 3.034 | 57 |
| 34.09 | 2.630 | 100 |
| 39.63 | 2.274 | 55 |
| 50.06 | 1.822 | 35 |
| 65.69 | 1.421 | 28 |

***

(2)
GaTeO4: theoretical X-ray powder pattern (Cu Kα), based on a structure optimized by DFT (GGA-PBE).
Intensities are scaled so that the largest is 100.

Crystal structure
Lattice parameters (Å, degrees): 5.1070 4.7488 5.8009 90.00 90.00 90.00
Space group Pnc2 (No. 30)
Inequivalent atoms, fractional coordinates:
Ga1 0.0000 0.0000 0.0000 (multiplicity 2)
Te1 0.5000 0.0000 0.3258 (multiplicity 2)
O1 0.1695 0.2356 0.2781 (multiplicity 4)
O2 0.3255 0.7230 0.5636 (multiplicity 4)

Most intense lines, 10 to 80 degrees two-theta, sorted by position:
| 2theta | d (Å) | intensity |
| --- | --- | --- |
| 24.22 | 3.675 | 42 |
| 29.96 | 2.983 | 100 |
| 35.60 | 2.522 | 24 |
| 52.64 | 1.739 | 19 |
| 52.97 | 1.729 | 29 |
| 63.41 | 1.467 | 26 |

***

(3)
NaTl10Cd2: theoretical X-ray powder pattern (Cu Kα), based on a structure optimized by DFT (GGA-PBE).
Intensities are scaled so that the largest is 100.

Crystal structure
Lattice parameters (Å, degrees): 6.2832 15.9904 16.0919 90.00 90.00 90.00
Space group Fmmm (No. 69)
Inequivalent atoms, fractional coordinates:
Na1 0.0000 0.0000 0.0000 (multiplicity 4)
Tl1 0.0000 0.1078 0.3984 (multiplicity 16)
Tl2 0.0000 0.1808 0.1740 (multiplicity 16)
Tl3 0.2500 0.0000 0.2500 (multiplicity 8)
Cd1 0.2500 0.2500 0.0000 (multiplicity 8)

Most intense lines, 10 to 80 degrees two-theta, sorted by position:
| 2theta | d (Å) | intensity |
| --- | --- | --- |
| 31.55 | 2.836 | 55 |
| 31.74 | 2.820 | 49 |
| 31.89 | 2.806 | 56 |
| 32.58 | 2.748 | 60 |
| 35.53 | 2.526 | 65 |
| 36.32 | 2.473 | 100 |

***

(4)
Y6Tl5Pb: theoretical X-ray powder pattern (Cu Kα), based on a structure optimized by DFT (GGA-PBE).
Intensities are scaled so that the largest is 100.

Crystal structure
Lattice parameters (Å, degrees): 9.3054 16.1898 5.3952 90.00 125.37 90.00
Space group C2/m (No. 12)
Inequivalent atoms, fractional coordinates:
Y1 0.2503 0.0000 0.2502 (multiplicity 4)
Y2 0.2503 0.1666 0.7502 (multiplicity 8)
Tl1 0.0000 0.0000 0.5000 (multiplicity 2)
Tl2 0.0000 0.1660 0.0000 (multiplicity 4)
Tl3 0.0000 0.3303 0.5000 (multiplicity 4)
Pb1 0.0000 0.5000 0.0000 (multiplicity 2)

Most intense lines, 10 to 80 degrees two-theta, sorted by position:
| 2theta | d (Å) | intensity |
| --- | --- | --- |
| 23.31 | 3.815 | 16 |
| 33.25 | 2.695 | 100 |
| 33.32 | 2.689 | 50 |
| 47.67 | 1.908 | 18 |
| 59.39 | 1.556 | 38 |
| 59.58 | 1.552 | 19 |

***

(5)
CsPa3S7: theoretical X-ray powder pattern (Cu Kα), based on a structure optimized by DFT (GGA-PBE).
Intensities are scaled so that the largest is 100.

Crystal structure
Lattice parameters (Å, degrees): 8.4110 15.5656 5.1065 90.00 90.00 90.00
Space group Cmmm (No. 65)
Inequivalent atoms, fractional coordinates:
Cs1 0.0000 0.0000 0.0000 (multiplicity 2)
Pa1 0.0000 0.2338 0.0000 (multiplicity 4)
Pa2 0.0000 0.5000 0.0000 (multiplicity 2)
S1 0.0000 0.1897 0.5000 (multiplicity 4)
S2 0.0000 0.5000 0.5000 (multiplicity 2)
S3 0.2073 0.3624 0.0000 (multiplicity 8)

Most intense lines, 10 to 80 degrees two-theta, sorted by position:
| 2theta | d (Å) | intensity |
| --- | --- | --- |
| 17.37 | 5.107 | 100 |
| 21.13 | 4.205 | 57 |
| 22.85 | 3.891 | 34 |
| 31.32 | 2.856 | 57 |
| 36.03 | 2.493 | 66 |
| 47.78 | 1.904 | 35 |